Pt2N: computed X-ray diffraction stick pattern (Cu Kα X-rays), based on a crystal structure in OQMD, relaxed with PBE.

Cell and atoms:
Unit cell a=5.503 b=5.503 c=5.503 alpha=90.00 beta=90.00 gamma=90.00
Space group Fm-3m (No. 225)
Unique sites:
Pt 0.250 0.250 0.250
N 0.000 0.000 0.000

The 4 most intense peaks (5 to 70 degrees two-theta), low angle first:
2θ = 32.54°, I 100
2θ = 46.69°, I 85
2θ = 58.07°, I 27
2θ = 68.17°, I 14


RbPt3N5: computed X-ray diffraction stick pattern (Cu Kα X-rays), based on a crystal structure in OQMD, relaxed with PBE.

Cell and atoms:
Unit cell a=5.3167 b=5.3167 c=6.1196 alpha=90.00 beta=90.00 gamma=120.00
Space group P6/mmm (No. 191)
Unique sites:
Rb 0.0000 0.0000 0.0000
Pt 0.0000 0.5000 0.5000
N 0.0000 0.0000 0.5000
N 0.3333 0.6667 0.2808

The 6 most intense peaks (5 to 70 degrees two-theta), low angle first:
2θ = 14.47°, I 100
2θ = 24.19°, I 51
2θ = 29.19°, I 28
2θ = 39.13°, I 42
2θ = 41.93°, I 41
2θ = 49.55°, I 49


Sr2YPtN6: computed X-ray diffraction stick pattern (Cu Kα X-rays), based on a crystal structure in OQMD, relaxed with PBE.

Cell and atoms:
Unit cell a=10.284 b=5.901 c=6.097 alpha=90.00 beta=125.22 gamma=90.00
Space group C2/m (No. 12)
Unique sites:
Sr 0.244 0.000 0.239
Y 0.000 0.000 0.500
Pt 0.000 0.500 0.000
N 0.040 0.263 0.807
N 0.233 0.500 0.306

The 6 most intense peaks (5 to 70 degrees two-theta), low angle first:
2θ = 29.30°, I 49
2θ = 29.73°, I 100
2θ = 30.15°, I 97
2θ = 30.29°, I 47
2θ = 42.65°, I 54
2θ = 53.51°, I 49


Tb2Pt8N: computed X-ray diffraction stick pattern (Cu Kα X-rays), based on a crystal structure in OQMD, relaxed with PBE.

Cell and atoms:
Unit cell a=4.378 b=16.251 c=5.418 alpha=90.00 beta=90.00 gamma=90.00
Space group Amm2 (No. 38)
Unique sites:
Tb 0.000 0.124 0.000
Pt 0.000 0.000 0.576
Pt 0.000 0.197 0.497
Pt 0.500 0.000 0.895
Pt 0.500 0.100 0.470
Pt 0.500 0.243 0.755
N 0.500 0.000 0.252

The 6 most intense peaks (5 to 70 degrees two-theta), low angle first:
2θ = 17.25°, I 15
2θ = 33.07°, I 15
2θ = 38.28°, I 100
2θ = 39.10°, I 42
2θ = 40.71°, I 31
2θ = 41.24°, I 40


Y2PtWN6: computed X-ray diffraction stick pattern (Cu Kα X-rays), based on a crystal structure in OQMD, relaxed with PBE.

Cell and atoms:
Unit cell a=5.5901 b=5.5901 c=28.5175 alpha=90.00 beta=90.00 gamma=120.00
Space group R-3m (No. 166, hexagonal axes)
Unique sites:
Y 0.0000 0.0000 0.1442
Y 0.0000 0.0000 0.2671
Pt 0.0000 0.0000 0.0000
Pt 0.0000 0.0000 0.5000
W 0.0000 0.0000 0.4038
N 0.0080 0.5040 0.7083
N 0.0076 0.5038 0.8750

The 6 most intense peaks (5 to 70 degrees two-theta), low angle first:
2θ = 19.36°, I 30
2θ = 28.64°, I 22
2θ = 31.16°, I 39
2θ = 32.02°, I 100
2θ = 50.40°, I 22
2θ = 57.07°, I 20


PuN2: computed X-ray diffraction stick pattern (Cu Kα X-rays), based on a crystal structure in OQMD, relaxed with PBE.

Cell and atoms:
Unit cell a=4.836 b=4.836 c=3.464 alpha=90.00 beta=90.00 gamma=90.00
Space group P4_2/mnm (No. 136)
Unique sites:
Pu 0.000 0.000 0.000
N 0.183 0.183 0.500

The 6 most intense peaks (5 to 70 degrees two-theta), low angle first:
2θ = 26.06°, I 95
2θ = 31.77°, I 100
2θ = 37.18°, I 31
2θ = 49.69°, I 69
2θ = 59.85°, I 20
2θ = 63.66°, I 19


Pu3ReN6: computed X-ray diffraction stick pattern (Cu Kα X-rays), based on a crystal structure in OQMD, relaxed with PBE.

Cell and atoms:
Unit cell a=8.967 b=11.405 c=5.458 alpha=90.00 beta=90.00 gamma=90.00
Space group Cmc2_1 (No. 36)
Unique sites:
Pu 0.000 0.102 0.000
Pu 0.199 0.397 0.975
Re 0.000 0.304 0.428
N 0.000 0.290 0.769
N 0.000 0.455 0.301
N 0.157 0.010 0.733
N 0.158 0.238 0.262

The 6 most intense peaks (5 to 70 degrees two-theta), low angle first:
2θ = 30.18°, I 100
2θ = 30.34°, I 39
2θ = 32.82°, I 25
2θ = 50.32°, I 18
2θ = 56.99°, I 20
2θ = 59.45°, I 17


SmPu2Ta2N6: computed X-ray diffraction stick pattern (Cu Kα X-rays), based on a crystal structure in OQMD, relaxed with PBE.

Cell and atoms:
Unit cell a=4.021 b=4.021 c=19.226 alpha=90.00 beta=90.00 gamma=90.00
Space group I4/mmm (No. 139)
Unique sites:
Sm 0.000 0.000 0.000
Pu 0.000 0.000 0.179
Ta 0.000 0.000 0.398
N 0.000 0.000 0.297
N 0.000 0.500 0.084

The 6 most intense peaks (5 to 70 degrees two-theta), low angle first:
2θ = 31.46°, I 66
2θ = 32.21°, I 100
2θ = 45.09°, I 30
2θ = 48.24°, I 13
2θ = 56.49°, I 42
2θ = 57.90°, I 10


RbTcN2: computed X-ray diffraction stick pattern (Cu Kα X-rays), based on a crystal structure in OQMD, relaxed with PBE.

Cell and atoms:
Unit cell a=5.961 b=5.961 c=8.611 alpha=90.00 beta=90.00 gamma=90.00
Space group I-42d (No. 122)
Unique sites:
Rb 0.000 0.000 0.000
Tc 0.000 0.000 0.500
N 0.052 0.750 0.625

The 6 most intense peaks (5 to 70 degrees two-theta), low angle first:
2θ = 29.66°, I 100
2θ = 29.98°, I 47
2θ = 42.91°, I 14
2θ = 52.43°, I 20
2θ = 53.03°, I 38
2θ = 61.58°, I 14


ReN: computed X-ray diffraction stick pattern (Cu Kα X-rays), based on a crystal structure in OQMD, relaxed with PBE.

Cell and atoms:
Unit cell a=2.7673 b=2.7673 c=6.7032 alpha=90.00 beta=90.00 gamma=120.00
Space group P6_3mc (No. 186)
Unique sites:
Re 0.3333 0.6667 0.0000
N 0.3333 0.6667 0.6920

The 6 most intense peaks (5 to 70 degrees two-theta), low angle first:
2θ = 26.60°, I 60
2θ = 37.53°, I 24
2θ = 39.95°, I 100
2θ = 46.59°, I 21
2θ = 56.29°, I 43
2θ = 67.72°, I 17


Sr2YReN6: computed X-ray diffraction stick pattern (Cu Kα X-rays), based on a crystal structure in OQMD, relaxed with PBE.

Cell and atoms:
Unit cell a=5.8356 b=5.8356 c=15.3415 alpha=90.00 beta=90.00 gamma=120.00
Space group R-3 (No. 148, hexagonal axes)
Unique sites:
Sr 0.0000 0.0000 0.2427
Y 0.0000 0.0000 0.0000
Re 0.0000 0.0000 0.5000
N 0.0208 0.5067 0.2416

The 6 most intense peaks (5 to 70 degrees two-theta), low angle first:
2θ = 21.05°, I 21
2θ = 29.23°, I 100
2θ = 30.64°, I 89
2θ = 42.86°, I 53
2θ = 50.93°, I 21
2θ = 53.60°, I 37